# Hf2Br5
Simulated X-ray diffraction stick pattern, Cu Ka. Input: a GGA-PBE-relaxed structure.

Main lines, sorted by position (10 to 80 degrees two-theta):
d 6.984, 12.67 deg, rel. 100; d 6.706, 13.20 deg, rel. 21; d 2.868, 31.19 deg, rel. 29; d 2.683, 33.40 deg, rel. 25; d 2.636, 34.01 deg, rel. 43; d 2.576, 34.83 deg, rel. 24; d 2.396, 37.53 deg, rel. 22; d 2.114, 42.77 deg, rel. 22; d 2.042, 44.35 deg, rel. 24; d 1.889, 48.17 deg, rel. 15

Atomic structure:
```
data_Hf2Br5
_symmetry_space_group_name_H-M 'P 1'
_symmetry_Int_Tables_number 1
_cell_length_a 8.256
_cell_length_b 3.426
_cell_length_c 13.413
_cell_angle_alpha 90.00
_cell_angle_beta 90.85
_cell_angle_gamma 90.00
loop_
_symmetry_equiv_pos_as_xyz
'x,y,z'
loop_
_atom_site_label
_atom_site_fract_x
_atom_site_fract_y
_atom_site_fract_z
Hf1 0.114 0.250 0.361
Hf2 0.340 0.750 0.194
Hf3 0.660 0.250 0.806
Hf4 0.886 0.750 0.639
Br1 0.015 0.750 0.209
Br2 0.141 0.250 0.573
Br3 0.275 0.250 0.044
Br4 0.364 0.750 0.396
Br5 0.410 0.750 0.787
Br6 0.590 0.250 0.213
Br7 0.636 0.250 0.604
Br8 0.725 0.750 0.956
Br9 0.859 0.750 0.427
Br10 0.985 0.250 0.791
```